# Si6Ni3Au
Simulated powder diffraction line list, Cu Ka. Input: a DFT-relaxed cell (PBE, OQMD).
Neutral-atom scattering factors, no anomalous dispersion.

Top 6 peaks for 2θ from 10° to 80°, most intense first:
(hkl)	two_theta	Rel. int.
0 1 2	27.81	100
0 1 14	46.61	76
1 1 0	48.25	73
1 0 1	27.43	51
1 0 4	29.29	34
0 0 12	31.59	27

a = 3.7723 Å, b = 3.7723 Å, c = 33.9850 Å
α = 90.00°, β = 90.00°, γ = 120.00°
Space group R-3m (No. 166, hexagonal axes)
Asymmetric unit:
1 Si 0.0000 0.0000 0.0695
2 Si 0.0000 0.0000 0.2136
3 Si 0.0000 0.0000 0.3576
4 Ni 0.0000 0.0000 0.0000
5 Ni 0.0000 0.0000 0.4246
6 Au 0.0000 0.0000 0.5000